# 1
Calculated powder XRD pattern
Compound: Zr2U
Radiation: Cu Kα, 1.54184 Å
Structure: a DFT-relaxed cell (PBE, the Materials Project)
Intensities are scaled so that the largest is 1000.

Atomic structure:
Cell: 5.260 5.260 2.992 Å, 90.00 90.00 120.00°
Positions (direct):
Zr1 0.333 0.667 0.000
Zr2 0.667 0.333 0.000
U1 0.000 0.000 0.500

Peak list (10 most intense, 10 to 90 degrees two-theta, in order of rising 2θ)
two_theta, I (rel.)
19.5, 369
34.1, 959
35.9, 1000
39.6, 68
50.4, 386
61.0, 180
62.2, 414
71.8, 112
72.7, 216
83.0, 192



# 2
Calculated powder XRD pattern
Compound: Zr2U
Radiation: Cu Kα, 1.54184 Å
Structure: a DFT-relaxed cell (PBE, the Materials Project)
Intensities are scaled so that the largest is 1000.

Atomic structure:
Cell: 3.044 5.086 5.086 Å, 60.09 90.00 90.00°
Positions (direct):
Zr1 0.000 0.000 0.000
Zr2 0.500 0.333 0.333
U1 0.500 0.667 0.667

Peak list (10 most intense, 10 to 90 degrees two-theta, in order of rising 2θ)
two_theta, I (rel.)
20.2, 392
29.3, 162
35.3, 1000
35.9, 870
46.5, 283
51.2, 318
63.3, 184
63.7, 333
72.3, 251
85.6, 104



# 3
Calculated powder XRD pattern
Compound: VW3
Radiation: Cu Kα, 1.54184 Å
Structure: a DFT-relaxed cell (PBE, the Materials Project)
Intensities are scaled so that the largest is 1000.

Atomic structure:
Cell: 4.443 4.443 4.443 Å, 60.00 60.00 60.00°
Positions (direct):
V1 0.000 0.000 0.000
W1 0.250 0.250 0.250
W2 0.500 0.500 0.500
W3 0.750 0.750 0.750

Peak list (10 most intense, 10 to 90 degrees two-theta, in order of rising 2θ)
two_theta, I (rel.)
24.5, 117
28.4, 62
40.6, 1000
48.0, 63
58.8, 169
64.7, 27
66.6, 25
73.9, 345
79.2, 21
87.9, 114